Record 1
Starting from a cell relaxed with GGA-PBE, the PXRD pattern of Sm2Bi2O5 was calculated for Cu Kα, 1.54184 Å.

Cell and atoms:
```
data_Sm2Bi2O5
_space_group_name_H-M_alt 'P 1'
_space_group_IT_number 1
_cell_length_a 3.9700
_cell_length_b 3.9700
_cell_length_c 9.7532
_cell_angle_alpha 90.00
_cell_angle_beta 90.00
_cell_angle_gamma 90.00
loop_
_space_group_symop_operation_xyz
'x,y,z'
loop_
_atom_site_label
_atom_site_fract_x
_atom_site_fract_y
_atom_site_fract_z
_atom_site_occupancy
Sm1 0.0000 0.0000 0.2475 1
Sm2 0.0000 0.0000 0.7525 1
Bi1 0.5000 0.5000 0.0000 1
Bi2 0.5000 0.5000 0.5000 1
O1 0.0000 0.0000 0.0000 1
O2 0.0000 0.5000 0.3553 1
O3 0.0000 0.5000 0.6447 1
O4 0.5000 0.0000 0.3553 1
O5 0.5000 0.0000 0.6447 1
```

Principal peaks in the range 5° ≤ 2θ ≤ 70°, in order of rising 2θ:
Position (°2θ), d [Å], I_rel
18.19, 4.877, 1.8
29.00, 3.079, 100.0
31.88, 2.807, 35.5
36.88, 2.437, 14.9
45.71, 1.985, 18.9
49.52, 1.841, 29.9
55.04, 1.668, 34.6
60.11, 1.539, 12.6
61.66, 1.504, 12.4
66.63, 1.404, 6.0

Record 2
Starting from a cell relaxed with GGA-PBE, the PXRD pattern of SrTa2Bi2O9 was calculated for Cu Kα, 1.54184 Å.

Cell and atoms:
```
data_SrTa2Bi2O9
_space_group_name_H-M_alt 'P 1'
_space_group_IT_number 1
_cell_length_a 12.6966
_cell_length_b 12.6966
_cell_length_c 5.5385
_cell_angle_alpha 90.00
_cell_angle_beta 90.00
_cell_angle_gamma 25.31
loop_
_space_group_symop_operation_xyz
'x,y,z'
loop_
_atom_site_label
_atom_site_fract_x
_atom_site_fract_y
_atom_site_fract_z
_atom_site_occupancy
Sr1 0.2487 0.7513 0.5000 1
Sr2 0.7513 0.2487 0.0000 1
Ta1 0.1670 0.6628 0.9931 1
Ta2 0.3372 0.8330 0.9931 1
Ta3 0.6628 0.1670 0.4931 1
Ta4 0.8330 0.3372 0.4931 1
Bi1 0.0813 0.5193 0.5359 1
Bi2 0.4807 0.9187 0.5359 1
Bi3 0.5193 0.0813 0.0359 1
Bi4 0.9187 0.4807 0.0359 1
O1 0.0684 0.1052 0.2190 1
O2 0.1052 0.0684 0.7190 1
O3 0.1599 0.5207 0.9813 1
O4 0.2016 0.7984 0.9824 1
O5 0.2403 0.2552 0.2692 1
O6 0.2552 0.2403 0.7692 1
O7 0.4183 0.4451 0.2496 1
O8 0.4451 0.4183 0.7496 1
O9 0.4793 0.8401 0.9813 1
O10 0.5207 0.1599 0.4813 1
O11 0.5549 0.5817 0.2496 1
O12 0.5817 0.5549 0.7496 1
O13 0.7448 0.7597 0.2692 1
O14 0.7597 0.7448 0.7692 1
O15 0.7984 0.2016 0.4824 1
O16 0.8401 0.4793 0.4813 1
O17 0.8948 0.9316 0.2190 1
O18 0.9316 0.8948 0.7190 1
```

Principal peaks in the range 5° ≤ 2θ ≤ 70°, in order of rising 2θ:
Position (°2θ), d [Å], I_rel
25.12, 3.545, 11.2
29.02, 3.077, 100.0
32.18, 2.781, 18.4
32.33, 2.769, 19.0
36.26, 2.478, 10.6
46.26, 1.962, 19.5
49.25, 1.850, 9.7
53.45, 1.714, 11.7
55.45, 1.657, 19.5
55.64, 1.652, 14.9

Record 3
Starting from a cell relaxed with GGA-PBE, the PXRD pattern of SrTa2Bi2O9 was calculated for Cu Kα, 1.54184 Å.

Cell and atoms:
```
data_SrTa2Bi2O9
_space_group_name_H-M_alt 'P 1'
_space_group_IT_number 1
_cell_length_a 12.7884
_cell_length_b 12.7884
_cell_length_c 5.5527
_cell_angle_alpha 90.00
_cell_angle_beta 90.00
_cell_angle_gamma 25.09
loop_
_space_group_symop_operation_xyz
'x,y,z'
loop_
_atom_site_label
_atom_site_fract_x
_atom_site_fract_y
_atom_site_fract_z
_atom_site_occupancy
Sr1 0.2475 0.7525 0.5000 1
Sr2 0.7525 0.2475 0.0000 1
Ta1 0.1686 0.6629 0.9941 1
Ta2 0.3371 0.8314 0.9941 1
Ta3 0.6629 0.1686 0.4941 1
Ta4 0.8314 0.3371 0.4941 1
Bi1 0.0805 0.5199 0.4263 1
Bi2 0.4801 0.9195 0.4263 1
Bi3 0.5199 0.0805 0.9263 1
Bi4 0.9195 0.4801 0.9263 1
O1 0.0785 0.0929 0.2388 1
O2 0.0929 0.0785 0.7388 1
O3 0.1624 0.5206 0.0101 1
O4 0.2021 0.7979 0.9986 1
O5 0.2390 0.2572 0.7014 1
O6 0.2572 0.2390 0.2014 1
O7 0.4270 0.4382 0.2535 1
O8 0.4382 0.4270 0.7535 1
O9 0.4794 0.8376 0.0101 1
O10 0.5206 0.1624 0.5101 1
O11 0.5618 0.5730 0.2535 1
O12 0.5730 0.5618 0.7535 1
O13 0.7428 0.7610 0.7014 1
O14 0.7610 0.7428 0.2014 1
O15 0.7979 0.2021 0.4986 1
O16 0.8376 0.4794 0.5101 1
O17 0.9071 0.9215 0.2388 1
O18 0.9215 0.9071 0.7388 1
```

Principal peaks in the range 5° ≤ 2θ ≤ 70°, in order of rising 2θ:
Position (°2θ), d [Å], I_rel
25.07, 3.552, 13.5
28.92, 3.087, 100.0
32.23, 2.777, 35.9
35.97, 2.497, 10.5
43.63, 2.075, 8.2
46.23, 1.964, 18.9
49.07, 1.857, 18.3
53.08, 1.725, 10.3
55.46, 1.657, 26.1
59.93, 1.543, 7.7

Record 4
Starting from a cell relaxed with GGA-PBE, the PXRD pattern of SrTa2Bi2O9 was calculated for Cu Kα, 1.54184 Å.

Cell and atoms:
```
data_SrTa2Bi2O9
_space_group_name_H-M_alt 'P 1'
_space_group_IT_number 1
_cell_length_a 5.5239
_cell_length_b 12.7498
_cell_length_c 12.7498
_cell_angle_alpha 154.93
_cell_angle_beta 90.00
_cell_angle_gamma 90.00
loop_
_space_group_symop_operation_xyz
'x,y,z'
loop_
_atom_site_label
_atom_site_fract_x
_atom_site_fract_y
_atom_site_fract_z
_atom_site_occupancy
Sr1 0.0000 0.0000 0.0000 1
Sr2 0.5000 0.5000 0.5000 1
Ta1 0.0025 0.5794 0.4078 1
Ta2 0.4975 0.0794 0.9078 1
Ta3 0.5025 0.9078 0.0794 1
Ta4 0.9975 0.4078 0.5794 1
Bi1 0.0183 0.1275 0.7281 1
Bi2 0.4817 0.6275 0.2281 1
Bi3 0.5183 0.2281 0.6275 1
Bi4 0.9817 0.7281 0.1275 1
O1 0.0000 0.4979 0.4979 1
O2 0.0303 0.6714 0.3488 1
O3 0.2157 0.8576 0.7058 1
O4 0.2176 0.1348 0.2944 1
O5 0.2450 0.4580 0.9549 1
O6 0.2550 0.9580 0.4549 1
O7 0.2824 0.6348 0.7944 1
O8 0.2843 0.3576 0.2058 1
O9 0.4697 0.1714 0.8488 1
O10 0.5000 0.9979 0.9979 1
O11 0.5303 0.8488 0.1714 1
O12 0.7157 0.2058 0.3576 1
O13 0.7176 0.7944 0.6348 1
O14 0.7450 0.4549 0.9580 1
O15 0.7550 0.9549 0.4580 1
O16 0.7824 0.2944 0.1348 1
O17 0.7843 0.7058 0.8576 1
O18 0.9697 0.3488 0.6714 1
```

Principal peaks in the range 5° ≤ 2θ ≤ 70°, in order of rising 2θ:
Position (°2θ), d [Å], I_rel
25.18, 3.537, 12.5
29.04, 3.075, 100.0
32.38, 2.765, 37.5
36.08, 2.489, 11.6
43.80, 2.067, 7.7
46.44, 1.955, 19.6
49.26, 1.850, 19.8
53.27, 1.720, 9.3
55.72, 1.650, 28.0
60.19, 1.537, 8.8

Record 5
Starting from a cell relaxed with GGA-PBE, the PXRD pattern of TaBiO4 was calculated for Cu Kα, 1.54184 Å.

Cell and atoms:
```
data_TaBiO4
_space_group_name_H-M_alt 'P 1'
_space_group_IT_number 1
_cell_length_a 6.2567
_cell_length_b 6.2567
_cell_length_c 6.2567
_cell_angle_alpha 107.06
_cell_angle_beta 107.06
_cell_angle_gamma 114.42
loop_
_space_group_symop_operation_xyz
'x,y,z'
loop_
_atom_site_label
_atom_site_fract_x
_atom_site_fract_y
_atom_site_fract_z
_atom_site_occupancy
Ta1 0.3750 0.6250 0.7500 1
Ta2 0.6250 0.3750 0.2500 1
Bi1 0.1250 0.8750 0.2500 1
Bi2 0.8750 0.1250 0.7500 1
O1 0.1975 0.2571 0.5597 1
O2 0.1975 0.6378 0.9403 1
O3 0.2571 0.1975 0.0597 1
O4 0.3622 0.8025 0.5597 1
O5 0.6378 0.1975 0.4403 1
O6 0.7429 0.8025 0.9403 1
O7 0.8025 0.3622 0.0597 1
O8 0.8025 0.7429 0.4403 1
```

Principal peaks in the range 5° ≤ 2θ ≤ 70°, in order of rising 2θ:
Position (°2θ), d [Å], I_rel
23.93, 3.719, 100.0
31.40, 2.849, 89.1
34.09, 2.630, 29.7
47.03, 1.932, 67.9
48.98, 1.860, 16.8
54.13, 1.694, 5.0
55.23, 1.663, 18.4
59.35, 1.557, 18.9
60.00, 1.542, 15.7
65.54, 1.424, 12.8

Record 6
Starting from a cell relaxed with GGA-PBE, the PXRD pattern of Ta3Bi7O18 was calculated for Cu Kα, 1.54184 Å.

Cell and atoms:
```
data_Ta3Bi7O18
_space_group_name_H-M_alt 'P 1'
_space_group_IT_number 1
_cell_length_a 6.6176
_cell_length_b 7.6237
_cell_length_c 16.3611
_cell_angle_alpha 103.34
_cell_angle_beta 92.62
_cell_angle_gamma 90.08
loop_
_space_group_symop_operation_xyz
'x,y,z'
loop_
_atom_site_label
_atom_site_fract_x
_atom_site_fract_y
_atom_site_fract_z
_atom_site_occupancy
Ta1 0.0000 0.0000 0.0000 1
Ta2 0.0013 0.4977 0.9989 1
Ta3 0.3620 0.1963 0.3928 1
Ta4 0.3652 0.6955 0.3932 1
Ta5 0.6068 0.8134 0.6187 1
Ta6 0.6108 0.3083 0.6160 1
Bi1 0.0867 0.0547 0.6131 1
Bi2 0.1536 0.5597 0.6023 1
Bi3 0.1771 0.3579 0.2122 1
Bi4 0.1821 0.8365 0.1793 1
Bi5 0.2987 0.8959 0.8143 1
Bi6 0.3011 0.3930 0.7948 1
Bi7 0.4601 0.2560 0.0068 1
Bi8 0.5373 0.7445 0.9967 1
Bi9 0.6587 0.1061 0.2157 1
Bi10 0.6670 0.6057 0.2146 1
Bi11 0.7923 0.1618 0.8258 1
Bi12 0.8051 0.6436 0.7882 1
Bi13 0.8267 0.4548 0.4083 1
Bi14 0.8929 0.9494 0.3973 1
O1 0.0483 0.5160 0.1235 1
O2 0.0579 0.2372 0.9712 1
O3 0.0608 0.1277 0.7442 1
O4 0.0812 0.2523 0.4078 1
O5 0.0833 0.1026 0.1180 1
O6 0.0850 0.6545 0.4111 1
O7 0.1403 0.6148 0.7345 1
O8 0.2931 0.9384 0.9690 1
O9 0.2956 0.5391 0.9890 1
O10 0.3039 0.8611 0.6427 1
O11 0.3046 0.9549 0.4116 1
O12 0.3063 0.2834 0.6476 1
O13 0.3368 0.6702 0.2650 1
O14 0.3397 0.0911 0.2654 1
O15 0.4138 0.4303 0.3622 1
O16 0.4535 0.1816 0.8668 1
O17 0.4824 0.2904 0.5035 1
O18 0.4929 0.3340 0.1641 1
O19 0.4941 0.7126 0.5020 1
O20 0.4968 0.6705 0.8482 1
O21 0.5146 0.8250 0.1404 1
O22 0.5493 0.5734 0.6439 1
O23 0.6445 0.3293 0.7409 1
O24 0.6445 0.9152 0.7417 1
O25 0.6605 0.0480 0.5925 1
O26 0.6669 0.1409 0.3615 1
O27 0.6683 0.7197 0.3593 1
O28 0.7099 0.4571 0.0075 1
O29 0.7166 0.0570 0.0092 1
O30 0.8361 0.3901 0.2752 1
O31 0.8850 0.3562 0.5976 1
O32 0.8875 0.7516 0.6012 1
O33 0.9184 0.8861 0.2665 1
O34 0.9530 0.8943 0.8725 1
O35 0.9560 0.7651 0.0280 1
O36 0.9581 0.4875 0.8753 1
```

Principal peaks in the range 5° ≤ 2θ ≤ 70°, in order of rising 2θ:
Position (°2θ), d [Å], I_rel
27.72, 3.218, 62.4
28.06, 3.180, 93.6
28.76, 3.104, 84.0
29.54, 3.024, 100.0
31.54, 2.837, 28.4
31.62, 2.829, 27.4
32.60, 2.747, 48.7
47.71, 1.906, 51.8
56.29, 1.634, 24.4
58.99, 1.566, 21.5

Record 7
Starting from a cell relaxed with GGA-PBE, the PXRD pattern of Ta2Bi4O11 was calculated for Cu Kα, 1.54184 Å.

Cell and atoms:
```
data_Ta2Bi4O11
_space_group_name_H-M_alt 'P 1'
_space_group_IT_number 1
_cell_length_a 6.5835
_cell_length_b 7.6674
_cell_length_c 9.8454
_cell_angle_alpha 101.22
_cell_angle_beta 90.12
_cell_angle_gamma 90.05
loop_
_space_group_symop_operation_xyz
'x,y,z'
loop_
_atom_site_label
_atom_site_fract_x
_atom_site_fract_y
_atom_site_fract_z
_atom_site_occupancy
Ta1 0.0923 0.2036 0.3120 1
Ta2 0.0954 0.7022 0.3122 1
Ta3 0.9046 0.2978 0.6878 1
Ta4 0.9077 0.7964 0.6880 1
Bi1 0.2468 0.3713 0.9807 1
Bi2 0.2475 0.8711 0.9801 1
Bi3 0.3774 0.0435 0.6628 1
Bi4 0.4311 0.5458 0.6776 1
Bi5 0.5689 0.4542 0.3224 1
Bi6 0.6226 0.9565 0.3372 1
Bi7 0.7525 0.1289 0.0199 1
Bi8 0.7532 0.6287 0.0193 1
O1 0.0016 0.2900 0.4993 1
O2 0.0247 0.9536 0.3153 1
O3 0.0980 0.1387 0.0993 1
O4 0.1173 0.6678 0.1034 1
O5 0.1730 0.4465 0.2869 1
O6 0.2115 0.3504 0.7360 1
O7 0.2155 0.7716 0.7366 1
O8 0.3754 0.1615 0.3437 1
O9 0.3751 0.7608 0.3591 1
O10 0.4179 0.1071 0.8819 1
O11 0.4558 0.5944 0.8953 1
O12 0.5442 0.4056 0.1047 1
O13 0.5821 0.8929 0.1181 1
O14 0.6249 0.2392 0.6409 1
O15 0.6246 0.8385 0.6563 1
O16 0.7845 0.2284 0.2634 1
O17 0.7885 0.6496 0.2640 1
O18 0.8270 0.5535 0.7131 1
O19 0.8827 0.3322 0.8966 1
O20 0.9020 0.8613 0.9007 1
O21 0.9753 0.0464 0.6847 1
O22 0.9984 0.7100 0.5007 1
```

Principal peaks in the range 5° ≤ 2θ ≤ 70°, in order of rising 2θ:
Position (°2θ), d [Å], I_rel
27.31, 3.266, 64.5
27.71, 3.219, 64.2
28.67, 3.114, 60.1
30.34, 2.946, 100.0
32.89, 2.723, 32.8
35.72, 2.514, 29.1
47.43, 1.917, 19.8
48.00, 1.895, 34.1
50.67, 1.802, 25.9
56.37, 1.632, 19.3

Record 8
Starting from a cell relaxed with GGA-PBE, the PXRD pattern of Ta7BiO19 was calculated for Cu Kα, 1.54184 Å.

Cell and atoms:
```
data_Ta7BiO19
_space_group_name_H-M_alt 'P 1'
_space_group_IT_number 1
_cell_length_a 6.2247
_cell_length_b 6.2247
_cell_length_c 20.0539
_cell_angle_alpha 90.00
_cell_angle_beta 90.00
_cell_angle_gamma 120.00
loop_
_space_group_symop_operation_xyz
'x,y,z'
loop_
_atom_site_label
_atom_site_fract_x
_atom_site_fract_y
_atom_site_fract_z
_atom_site_occupancy
Ta1 0.0000 0.0000 0.0000 1
Ta2 0.0000 0.0000 0.5000 1
Ta3 0.0277 0.3333 0.1561 1
Ta4 0.0277 0.3333 0.3439 1
Ta5 0.0277 0.6944 0.6561 1
Ta6 0.0277 0.6944 0.8439 1
Ta7 0.3056 0.3333 0.6561 1
Ta8 0.3056 0.3333 0.8439 1
Ta9 0.3056 0.9723 0.1561 1
Ta10 0.3056 0.9723 0.3439 1
Ta11 0.6667 0.6944 0.1561 1
Ta12 0.6667 0.6944 0.3439 1
Ta13 0.6667 0.9723 0.6561 1
Ta14 0.6667 0.9723 0.8439 1
Bi1 0.3333 0.6667 0.0000 1
Bi2 0.3333 0.6667 0.5000 1
O1 0.0000 0.0000 0.1680 1
O2 0.0000 0.0000 0.3320 1
O3 0.0000 0.0000 0.6680 1
O4 0.0000 0.0000 0.8320 1
O5 0.0444 0.2838 0.0564 1
O6 0.0444 0.2838 0.4436 1
O7 0.0444 0.7606 0.5564 1
O8 0.0444 0.7606 0.9436 1
O9 0.0889 0.3803 0.2500 1
O10 0.0889 0.7086 0.7500 1
O11 0.2394 0.2838 0.5564 1
O12 0.2394 0.2838 0.9436 1
O13 0.2394 0.9556 0.0564 1
O14 0.2394 0.9556 0.4436 1
O15 0.2914 0.3803 0.7500 1
O16 0.2914 0.9111 0.2500 1
O17 0.3333 0.6667 0.1317 1
O18 0.3333 0.6667 0.3683 1
O19 0.3333 0.6667 0.6317 1
O20 0.3333 0.6667 0.8683 1
O21 0.4188 0.0857 0.6534 1
O22 0.4188 0.0857 0.8466 1
O23 0.4188 0.3331 0.1534 1
O24 0.4188 0.3331 0.3466 1
O25 0.6197 0.7086 0.2500 1
O26 0.6197 0.9111 0.7500 1
O27 0.6669 0.0857 0.1534 1
O28 0.6669 0.0857 0.3466 1
O29 0.6669 0.5812 0.6534 1
O30 0.6669 0.5812 0.8466 1
O31 0.7162 0.7606 0.0564 1
O32 0.7162 0.7606 0.4436 1
O33 0.7162 0.9556 0.5564 1
O34 0.7162 0.9556 0.9436 1
O35 0.9143 0.3331 0.6534 1
O36 0.9143 0.3331 0.8466 1
O37 0.9143 0.5812 0.1534 1
O38 0.9143 0.5812 0.3466 1
```

Principal peaks in the range 5° ≤ 2θ ≤ 70°, in order of rising 2θ:
Position (°2θ), d [Å], I_rel
16.44, 5.391, 37.5
26.67, 3.342, 72.1
29.03, 3.076, 100.0
30.06, 2.972, 52.0
33.90, 2.644, 59.1
36.54, 2.459, 50.4
50.81, 1.797, 42.9
54.43, 1.686, 26.4
58.30, 1.583, 46.0
58.69, 1.573, 20.0

Record 9
Starting from a cell relaxed with GGA-PBE, the PXRD pattern of TaBiO4 was calculated for Cu Kα, 1.54184 Å.

Cell and atoms:
```
data_TaBiO4
_space_group_name_H-M_alt 'P 1'
_space_group_IT_number 1
_cell_length_a 5.6582
_cell_length_b 11.7512
_cell_length_c 4.9623
_cell_angle_alpha 90.00
_cell_angle_beta 90.00
_cell_angle_gamma 90.00
loop_
_space_group_symop_operation_xyz
'x,y,z'
loop_
_atom_site_label
_atom_site_fract_x
_atom_site_fract_y
_atom_site_fract_z
_atom_site_occupancy
Ta1 0.1367 0.2500 0.2500 1
Ta2 0.3633 0.7500 0.2500 1
Ta3 0.6367 0.2500 0.7500 1
Ta4 0.8633 0.7500 0.7500 1
Bi1 0.2500 0.0000 0.7304 1
Bi2 0.2500 0.5000 0.7696 1
Bi3 0.7500 0.0000 0.2696 1
Bi4 0.7500 0.5000 0.2304 1
O1 0.0842 0.0980 0.4154 1
O2 0.0842 0.4020 0.0846 1
O3 0.1401 0.6926 0.5056 1
O4 0.1401 0.8074 0.9944 1
O5 0.3599 0.1926 0.9944 1
O6 0.3599 0.3074 0.5056 1
O7 0.4158 0.5980 0.0846 1
O8 0.4158 0.9020 0.4154 1
O9 0.5842 0.0980 0.5846 1
O10 0.5842 0.4020 0.9154 1
O11 0.6401 0.6926 0.4944 1
O12 0.6401 0.8074 0.0056 1
O13 0.8599 0.1926 0.0056 1
O14 0.8599 0.3074 0.4944 1
O15 0.9158 0.5980 0.9154 1
O16 0.9158 0.9020 0.5846 1
```

Principal peaks in the range 5° ≤ 2θ ≤ 70°, in order of rising 2θ:
Position (°2θ), d [Å], I_rel
25.04, 3.556, 19.3
28.34, 3.150, 100.0
30.43, 2.938, 24.2
31.63, 2.829, 8.3
36.20, 2.481, 12.8
48.00, 1.896, 16.0
51.86, 1.763, 8.5
52.79, 1.734, 19.6
60.41, 1.532, 13.9
61.32, 1.512, 8.9